No. 1
This entry pairs a crystal structure of TiNi with its theoretical X-ray diffraction stick pattern. Radiation: Cu Kα (weighted mean of Kα1 and Kα2). Structure: a GGA-PBE-relaxed structure.
No peak broadening, texture or thermal motion is included.

Structural model:
```
data_TiNi
_chemical_formula_sum 'Ti1 Ni1'
_symmetry_space_group_name_H-M 'P m -3 m'
_symmetry_Int_Tables_number 221
_symmetry_space_group_name_Hall '-P 4 2 3'
_cell_length_a 2.993
_cell_length_b 2.993
_cell_length_c 2.993
_cell_angle_alpha 90.00
_cell_angle_beta 90.00
_cell_angle_gamma 90.00
loop_
_atom_site_label
_atom_site_fract_x
_atom_site_fract_y
_atom_site_fract_z
Ti1 0.000 0.000 0.000
Ni1 0.500 0.500 0.500
```

Principal peaks in the range 2θ from 10° to 90°, in order of falling intensity:
2θ (°), d/Å, Rel. int.
42.72, 2.117, 100
78.23, 1.222, 29
62.01, 1.497, 15
29.85, 2.993, 3
70.33, 1.339, 1
52.99, 1.728, 1

No. 2
This entry pairs a crystal structure of TiZnNi2 with its theoretical X-ray diffraction stick pattern. Radiation: Cu Kα (weighted mean of Kα1 and Kα2). Structure: a GGA-PBE-relaxed structure.
No peak broadening, texture or thermal motion is included.

Structural model:
```
data_TiZnNi2
_chemical_formula_sum 'Ti1 Zn1 Ni2'
_symmetry_space_group_name_H-M 'P 4/m m m'
_symmetry_Int_Tables_number 123
_symmetry_space_group_name_Hall '-P 4 2'
_cell_length_a 3.013
_cell_length_b 3.013
_cell_length_c 5.630
_cell_angle_alpha 90.00
_cell_angle_beta 90.00
_cell_angle_gamma 90.00
loop_
_atom_site_label
_atom_site_fract_x
_atom_site_fract_y
_atom_site_fract_z
Ti1 0.000 0.000 0.000
Zn1 0.000 0.000 0.500
Ni1 0.500 0.500 0.249
```

Principal peaks in the range 2θ from 10° to 90°, in order of falling intensity:
2θ (°), d/Å, Rel. int.
44.03, 2.057, 100
42.43, 2.130, 56
78.75, 1.215, 32
61.57, 1.506, 17
82.07, 1.174, 14
66.42, 1.408, 7
15.74, 5.630, 2
33.74, 2.656, 2
45.53, 1.992, 1
72.08, 1.310, 1

No. 3
This entry pairs a crystal structure of ZrTi2Ni9 with its theoretical X-ray diffraction stick pattern. Radiation: Cu Kα (weighted mean of Kα1 and Kα2). Structure: a GGA-PBE-relaxed structure.
No peak broadening, texture or thermal motion is included.

Structural model:
```
data_ZrTi2Ni9
_chemical_formula_sum 'Zr3 Ti6 Ni27'
_symmetry_space_group_name_H-M 'R 3 m'
_symmetry_Int_Tables_number 160
_symmetry_space_group_name_Hall 'R 3 -2"'
_cell_length_a 5.1890
_cell_length_b 5.1890
_cell_length_c 18.9348
_cell_angle_alpha 90.00
_cell_angle_beta 90.00
_cell_angle_gamma 120.00
loop_
_atom_site_label
_atom_site_fract_x
_atom_site_fract_y
_atom_site_fract_z
Zr1 0.0000 0.0000 0.0000
Ti1 0.0000 0.0000 0.2195
Ti2 0.0000 0.0000 0.4363
Ni1 0.0081 0.5040 0.2173
Ni2 0.0154 0.5077 0.4446
Ni3 0.1733 0.3467 0.3295
```

Principal peaks in the range 2θ from 10° to 90°, in order of falling intensity:
2θ (°), d/Å, Rel. int.
44.64, 2.030, 100
47.02, 1.932, 83
42.99, 2.104, 52
40.43, 2.231, 36
88.56, 1.104, 33
72.92, 1.297, 29
41.30, 2.186, 20
78.21, 1.222, 17
56.47, 1.630, 13
83.41, 1.159, 13
89.70, 1.093, 12
52.98, 1.728, 9

No. 4
This entry pairs a crystal structure of ZrTi2Ni9 with its theoretical X-ray diffraction stick pattern. Radiation: Cu Kα (weighted mean of Kα1 and Kα2). Structure: a GGA-PBE-relaxed structure.
No peak broadening, texture or thermal motion is included.

Structural model:
```
data_ZrTi2Ni9
_chemical_formula_sum 'Zr3 Ti6 Ni27'
_symmetry_space_group_name_H-M 'R -3 m'
_symmetry_Int_Tables_number 166
_symmetry_space_group_name_Hall '-R 3 2"'
_cell_length_a 5.1610
_cell_length_b 5.1610
_cell_length_c 18.9916
_cell_angle_alpha 90.00
_cell_angle_beta 90.00
_cell_angle_gamma 120.00
loop_
_atom_site_label
_atom_site_fract_x
_atom_site_fract_y
_atom_site_fract_z
Zr1 0.0000 0.0000 0.0000
Ti1 0.0000 0.0000 0.2191
Ni1 0.0000 0.5000 0.0000
Ni2 0.0150 0.5075 0.2210
```

Principal peaks in the range 2θ from 10° to 90°, in order of falling intensity:
2θ (°), d/Å, Rel. int.
44.82, 2.022, 100
47.19, 1.926, 93
42.86, 2.110, 55
40.65, 2.219, 46
88.91, 1.101, 34
73.38, 1.290, 29
83.33, 1.160, 17
78.17, 1.223, 16
64.38, 1.447, 13
56.56, 1.627, 13
21.98, 4.044, 8
41.51, 2.175, 8

No. 5
This entry pairs a crystal structure of ZrTiNi with its theoretical X-ray diffraction stick pattern. Radiation: Cu Kα (weighted mean of Kα1 and Kα2). Structure: a GGA-PBE-relaxed structure.
No peak broadening, texture or thermal motion is included.

Structural model:
```
data_ZrTiNi
_chemical_formula_sum 'Zr4 Ti4 Ni4'
_symmetry_space_group_name_H-M 'P 1 m 1'
_symmetry_Int_Tables_number 6
_cell_length_a 5.214
_cell_length_b 8.411
_cell_length_c 5.231
_cell_angle_alpha 90.00
_cell_angle_beta 119.44
_cell_angle_gamma 90.00
loop_
_symmetry_equiv_pos_as_xyz
'x,y,z'
'x,-y,z'
loop_
_atom_site_label
_atom_site_fract_x
_atom_site_fract_y
_atom_site_fract_z
Zr1 0.000 0.181 0.000
Zr2 0.667 0.292 0.334
Ti1 0.154 0.500 0.849
Ti2 0.165 0.500 0.340
Ti3 0.461 0.000 0.539
Ti4 0.660 0.500 0.835
Ni1 0.321 0.249 0.680
Ni2 0.481 0.000 0.034
Ni3 0.966 0.000 0.520
```

Principal peaks in the range 2θ from 10° to 90°, in order of falling intensity:
2θ (°), d/Å, Rel. int.
40.67, 2.218, 100
37.69, 2.387, 64
40.41, 2.232, 62
37.78, 2.381, 40
41.05, 2.199, 32
41.18, 2.192, 32
34.29, 2.615, 30
34.40, 2.607, 30
69.51, 1.352, 26
34.04, 2.634, 24
43.02, 2.103, 23
41.46, 2.178, 21

No. 6
This entry pairs a crystal structure of TlNi with its theoretical X-ray diffraction stick pattern. Radiation: Cu Kα (weighted mean of Kα1 and Kα2). Structure: a GGA-PBE-relaxed structure.
No peak broadening, texture or thermal motion is included.

Structural model:
```
data_TlNi
_chemical_formula_sum 'Tl2 Ni2'
_symmetry_space_group_name_H-M 'P 63/m m c'
_symmetry_Int_Tables_number 194
_symmetry_space_group_name_Hall '-P 6c 2c'
_cell_length_a 4.1693
_cell_length_b 4.1693
_cell_length_c 5.0558
_cell_angle_alpha 90.00
_cell_angle_beta 90.00
_cell_angle_gamma 120.00
loop_
_atom_site_label
_atom_site_fract_x
_atom_site_fract_y
_atom_site_fract_z
Tl1 0.3333 0.6667 0.2500
Ni1 0.0000 0.0000 0.0000
```

Principal peaks in the range 2θ from 10° to 90°, in order of falling intensity:
2θ (°), d/Å, Rel. int.
30.42, 2.938, 100
43.41, 2.085, 45
43.71, 2.071, 34
53.93, 1.700, 21
71.62, 1.318, 18
60.64, 1.527, 15
79.88, 1.201, 11
63.30, 1.469, 11
57.28, 1.608, 11
79.66, 1.204, 8
77.48, 1.232, 7
35.51, 2.528, 7

No. 7
This entry pairs a crystal structure of TmNi3 with its theoretical X-ray diffraction stick pattern. Radiation: Cu Kα (weighted mean of Kα1 and Kα2). Structure: a GGA-PBE-relaxed structure.
No peak broadening, texture or thermal motion is included.

Structural model:
```
data_TmNi3
_chemical_formula_sum 'Tm9 Ni27'
_symmetry_space_group_name_H-M 'R -3 m'
_symmetry_Int_Tables_number 166
_symmetry_space_group_name_Hall '-R 3 2"'
_cell_length_a 4.9346
_cell_length_b 4.9346
_cell_length_c 24.2107
_cell_angle_alpha 90.00
_cell_angle_beta 90.00
_cell_angle_gamma 120.00
loop_
_atom_site_label
_atom_site_fract_x
_atom_site_fract_y
_atom_site_fract_z
Tm1 0.0000 0.0000 0.0000
Tm2 0.0000 0.0000 0.1394
Ni1 0.0000 0.0000 0.3334
Ni2 0.0000 0.0000 0.5000
Ni3 0.0009 0.5005 0.9176
```

Principal peaks in the range 2θ from 10° to 90°, in order of falling intensity:
2θ (°), d/Å, Rel. int.
42.97, 2.105, 100
36.40, 2.468, 90
33.33, 2.689, 50
42.47, 2.128, 36
46.43, 1.956, 25
65.51, 1.425, 25
44.96, 2.016, 20
70.05, 1.343, 20
77.35, 1.234, 20
63.57, 1.464, 15
69.99, 1.344, 14
69.61, 1.351, 12

No. 8
This entry pairs a crystal structure of Tm3Ni with its theoretical X-ray diffraction stick pattern. Radiation: Cu Kα (weighted mean of Kα1 and Kα2). Structure: a GGA-PBE-relaxed structure.
No peak broadening, texture or thermal motion is included.

Structural model:
```
data_Tm3Ni
_chemical_formula_sum 'Tm12 Ni4'
_symmetry_space_group_name_H-M 'P n m a'
_symmetry_Int_Tables_number 62
_cell_length_a 6.722
_cell_length_b 9.428
_cell_length_c 6.234
_cell_angle_alpha 90.00
_cell_angle_beta 90.00
_cell_angle_gamma 90.00
loop_
_symmetry_equiv_pos_as_xyz
'x,y,z'
'-x,-y,-z'
'-x+1/2,-y,z+1/2'
'x+1/2,y,-z+1/2'
'x+1/2,-y+1/2,-z+1/2'
'-x+1/2,y+1/2,z+1/2'
'-x,y+1/2,-z'
'x,-y+1/2,z'
loop_
_atom_site_label
_atom_site_fract_x
_atom_site_fract_y
_atom_site_fract_z
Tm1 0.032 0.250 0.138
Tm2 0.179 0.065 0.680
Ni1 0.106 0.750 0.445
```

Principal peaks in the range 2θ from 10° to 90°, in order of falling intensity:
2θ (°), d/Å, Rel. int.
31.89, 2.806, 100
31.67, 2.825, 85
33.07, 2.709, 68
32.72, 2.737, 60
35.84, 2.506, 53
34.64, 2.590, 34
58.63, 1.575, 29
49.84, 1.830, 26
54.69, 1.678, 23
39.25, 2.295, 22
56.73, 1.623, 20
30.21, 2.958, 20

No. 9
This entry pairs a crystal structure of UNi2 with its theoretical X-ray diffraction stick pattern. Radiation: Cu Kα (weighted mean of Kα1 and Kα2). Structure: a GGA-PBE-relaxed structure.
No peak broadening, texture or thermal motion is included.

Structural model:
```
data_UNi2
_chemical_formula_sum 'U4 Ni8'
_symmetry_space_group_name_H-M 'P 63/m m c'
_symmetry_Int_Tables_number 194
_symmetry_space_group_name_Hall '-P 6c 2c'
_cell_length_a 4.9291
_cell_length_b 4.9291
_cell_length_c 8.2349
_cell_angle_alpha 90.00
_cell_angle_beta 90.00
_cell_angle_gamma 120.00
loop_
_atom_site_label
_atom_site_fract_x
_atom_site_fract_y
_atom_site_fract_z
U1 0.3333 0.6667 0.0560
Ni1 0.0000 0.0000 0.0000
Ni2 0.1657 0.3314 0.7500
```

Principal peaks in the range 2θ from 10° to 90°, in order of falling intensity:
2θ (°), d/Å, Rel. int.
42.76, 2.115, 100
39.01, 2.309, 90
36.46, 2.465, 71
67.32, 1.391, 38
43.82, 2.066, 38
72.49, 1.304, 29
69.95, 1.345, 24
30.16, 2.963, 22
20.81, 4.269, 21
77.45, 1.232, 20
21.58, 4.117, 19
60.23, 1.537, 19

No. 10
This entry pairs a crystal structure of UZnNi4 with its theoretical X-ray diffraction stick pattern. Radiation: Cu Kα (weighted mean of Kα1 and Kα2). Structure: a GGA-PBE-relaxed structure.
No peak broadening, texture or thermal motion is included.

Structural model:
```
data_UZnNi4
_chemical_formula_sum 'U4 Zn4 Ni16'
_symmetry_space_group_name_H-M 'F -4 3 m'
_symmetry_Int_Tables_number 216
_symmetry_space_group_name_Hall 'F -4 2 3'
_cell_length_a 6.845
_cell_length_b 6.845
_cell_length_c 6.845
_cell_angle_alpha 90.00
_cell_angle_beta 90.00
_cell_angle_gamma 90.00
loop_
_atom_site_label
_atom_site_fract_x
_atom_site_fract_y
_atom_site_fract_z
U1 0.000 0.000 0.000
Zn1 0.250 0.250 0.250
Ni1 0.124 0.124 0.624
```

Principal peaks in the range 2θ from 10° to 90°, in order of falling intensity:
2θ (°), d/Å, Rel. int.
43.87, 2.064, 100
37.15, 2.420, 56
71.63, 1.317, 31
22.50, 3.952, 25
45.93, 1.976, 21
79.15, 1.210, 21
66.97, 1.397, 20
26.03, 3.423, 19
60.48, 1.531, 8
58.80, 1.570, 7
83.56, 1.157, 6
85.02, 1.141, 4

No. 11
This entry pairs a crystal structure of VNi with its theoretical X-ray diffraction stick pattern. Radiation: Cu Kα (weighted mean of Kα1 and Kα2). Structure: a GGA-PBE-relaxed structure.
No peak broadening, texture or thermal motion is included.

Structural model:
```
data_VNi
_chemical_formula_sum 'V3 Ni3'
_symmetry_space_group_name_H-M 'R -3 m'
_symmetry_Int_Tables_number 166
_symmetry_space_group_name_Hall '-R 3 2"'
_cell_length_a 2.5520
_cell_length_b 2.5520
_cell_length_c 12.7463
_cell_angle_alpha 90.00
_cell_angle_beta 90.00
_cell_angle_gamma 120.00
loop_
_atom_site_label
_atom_site_fract_x
_atom_site_fract_y
_atom_site_fract_z
V1 0.0000 0.0000 0.0000
Ni1 0.0000 0.0000 0.5000
```

Principal peaks in the range 2θ from 10° to 90°, in order of falling intensity:
2θ (°), d/Å, Rel. int.
43.33, 2.088, 100
50.24, 1.816, 63
42.56, 2.124, 35
89.62, 1.094, 21
73.24, 1.292, 18
74.34, 1.276, 18
88.57, 1.104, 11
20.91, 4.249, 3
41.47, 2.178, 2
54.99, 1.670, 1
78.22, 1.222, 1
66.54, 1.405, 1

No. 12
This entry pairs a crystal structure of VNi3 with its theoretical X-ray diffraction stick pattern. Radiation: Cu Kα (weighted mean of Kα1 and Kα2). Structure: a GGA-PBE-relaxed structure.
No peak broadening, texture or thermal motion is included.

Structural model:
```
data_VNi3
_chemical_formula_sum 'V2 Ni6'
_symmetry_space_group_name_H-M 'I 4/m m m'
_symmetry_Int_Tables_number 139
_symmetry_space_group_name_Hall '-I 4 2'
_cell_length_a 3.524
_cell_length_b 3.524
_cell_length_c 7.194
_cell_angle_alpha 90.00
_cell_angle_beta 90.00
_cell_angle_gamma 90.00
loop_
_atom_site_label
_atom_site_fract_x
_atom_site_fract_y
_atom_site_fract_z
V1 0.000 0.000 0.000
Ni1 0.000 0.000 0.500
Ni2 0.000 0.500 0.250
```

Principal peaks in the range 2θ from 10° to 90°, in order of falling intensity:
2θ (°), d/Å, Rel. int.
44.21, 2.048, 100
51.89, 1.762, 30
75.54, 1.259, 18
50.77, 1.798, 16
76.44, 1.246, 9
28.20, 3.165, 1

No. 13
This entry pairs a crystal structure of VNi3 with its theoretical X-ray diffraction stick pattern. Radiation: Cu Kα (weighted mean of Kα1 and Kα2). Structure: a GGA-PBE-relaxed structure.
No peak broadening, texture or thermal motion is included.

Structural model:
```
data_VNi3
_chemical_formula_sum 'V3 Ni9'
_symmetry_space_group_name_H-M 'R -3 m'
_symmetry_Int_Tables_number 166
_symmetry_space_group_name_Hall '-R 3 2"'
_cell_length_a 2.5131
_cell_length_b 2.5131
_cell_length_c 24.6110
_cell_angle_alpha 90.00
_cell_angle_beta 90.00
_cell_angle_gamma 120.00
loop_
_atom_site_label
_atom_site_fract_x
_atom_site_fract_y
_atom_site_fract_z
V1 0.0000 0.0000 0.0000
Ni1 0.0000 0.0000 0.2499
Ni2 0.0000 0.0000 0.5000
```

Principal peaks in the range 2θ from 10° to 90°, in order of falling intensity:
2θ (°), d/Å, Rel. int.
44.14, 2.052, 100
51.43, 1.777, 46
75.70, 1.256, 27
10.78, 8.204, 2
21.67, 4.102, 1

No. 14
This entry pairs a crystal structure of V3Ni with its theoretical X-ray diffraction stick pattern. Radiation: Cu Kα (weighted mean of Kα1 and Kα2). Structure: a GGA-PBE-relaxed structure.
No peak broadening, texture or thermal motion is included.

Structural model:
```
data_V3Ni
_chemical_formula_sum 'V6 Ni2'
_symmetry_space_group_name_H-M 'P m -3 n'
_symmetry_Int_Tables_number 223
_symmetry_space_group_name_Hall '-P 4n 2 3'
_cell_length_a 4.670
_cell_length_b 4.670
_cell_length_c 4.670
_cell_angle_alpha 90.00
_cell_angle_beta 90.00
_cell_angle_gamma 90.00
loop_
_atom_site_label
_atom_site_fract_x
_atom_site_fract_y
_atom_site_fract_z
V1 0.000 0.250 0.500
Ni1 0.000 0.000 0.000
```

Principal peaks in the range 2θ from 10° to 90°, in order of falling intensity:
2θ (°), d/Å, Rel. int.
43.33, 2.088, 100
47.71, 1.906, 99
38.56, 2.335, 48
76.30, 1.248, 43
73.06, 1.295, 18
82.66, 1.167, 15
69.76, 1.348, 5
27.00, 3.302, 4
62.94, 1.477, 1
55.67, 1.651, 1

No. 15
This entry pairs a crystal structure of VNi3 with its theoretical X-ray diffraction stick pattern. Radiation: Cu Kα (weighted mean of Kα1 and Kα2). Structure: a GGA-PBE-relaxed structure.
No peak broadening, texture or thermal motion is included.

Structural model:
```
data_VNi3
_chemical_formula_sum 'V1 Ni3'
_symmetry_space_group_name_H-M 'P 4/m m m'
_symmetry_Int_Tables_number 123
_symmetry_space_group_name_Hall '-P 4 2'
_cell_length_a 2.520
_cell_length_b 2.520
_cell_length_c 7.122
_cell_angle_alpha 90.00
_cell_angle_beta 90.00
_cell_angle_gamma 90.00
loop_
_atom_site_label
_atom_site_fract_x
_atom_site_fract_y
_atom_site_fract_z
V1 0.000 0.000 0.000
Ni1 0.000 0.000 0.500
Ni2 0.500 0.500 0.253
```

Principal peaks in the range 2θ from 10° to 90°, in order of falling intensity:
2θ (°), d/Å, Rel. int.
44.01, 2.057, 100
51.28, 1.782, 46
75.46, 1.260, 27
12.43, 7.122, 2
52.98, 1.728, 1